Diffraction record for Tb2CeTe5. The powder diffraction line list is computed, not measured: it uses DFT lattice parameters and positions (PBE) and λ = 1.5418 Å (Cu Kα).

Peak list (6 most intense, 10 to 90 degrees two-theta, by angle)
2θ/deg, d_spacing, Rel. int.
30.91, 2.893, 100
34.69, 2.586, 46
40.23, 2.242, 11
49.86, 1.829, 21
63.64, 1.462, 12
64.42, 1.446, 26

Structure:
```
16
Lattice="-4.0892 4.0892 7.0931 4.0892 -4.0892 7.0931 4.0892 4.0892 -7.0931" Properties=species:S:1:pos:R:3 pbc="T T T"
Tb 5.3272 1.2380 0.0000
Tb 1.2380 2.8512 0.0000
Tb 2.8512 1.2380 7.0931
Tb -1.2380 2.8512 7.0931
Ce 0.0000 0.0000 3.5466
Ce 0.0000 0.0000 10.6397
Te 0.0000 0.0000 0.0000
Te 2.7934 1.2958 -2.1213
Te 2.7934 -1.2958 4.9718
Te 2.7934 1.2958 2.1213
Te 2.7934 -1.2958 9.2144
Te 0.0000 0.0000 7.0931
Te 1.2958 5.3850 -2.1213
Te 1.2958 2.7934 4.9718
Te 1.2958 5.3850 2.1213
Te 1.2958 2.7934 9.2144
```

Diffraction record for H2IrF6. The powder diffraction line list is computed, not measured: it uses DFT lattice parameters and positions (PBE) and λ = 1.5418 Å (Cu Kα).

Peak list (6 most intense, 10 to 90 degrees two-theta, by angle)
2θ/deg, d_spacing, Rel. int.
18.98, 4.675, 100
19.18, 4.627, 51
20.78, 4.274, 35
22.09, 4.023, 25
25.30, 3.521, 47
31.02, 2.883, 25

Structure:
```
18
Lattice="4.6464 0.0000 0.0000 0.0000 5.4165 0.0000 -3.9471 0.0000 9.2538" Properties=species:S:1:pos:R:3 pbc="T T T"
H -0.0248 1.2420 0.7211
H -1.9984 1.4662 5.3480
H 2.6977 3.9503 3.9058
H 0.7241 4.1744 8.5327
Ir 2.3232 0.0000 0.0000
Ir 0.3496 2.7082 4.6269
F -0.9244 3.7263 3.4502
F -2.8979 4.3983 8.0771
F -0.9815 1.2211 4.8340
F 0.9921 1.4871 0.2071
F -0.4112 3.5877 6.1486
F 1.5624 4.5370 1.5217
F -0.8631 0.8795 7.7321
F 1.1105 1.8287 3.1052
F -0.2928 3.9294 9.0467
F 1.6808 4.1953 4.4198
F 3.5972 1.0181 1.1767
F 1.6237 1.6901 5.8036
```

Diffraction record for Pa2Ag2Cl2O5. The powder diffraction line list is computed, not measured: it uses DFT lattice parameters and positions (PBE) and λ = 1.5418 Å (Cu Kα).

Peak list (6 most intense, 10 to 90 degrees two-theta, by angle)
2θ/deg, d_spacing, Rel. int.
14.69, 6.029, 41
21.19, 4.193, 78
27.95, 3.192, 100
29.67, 3.011, 89
42.45, 2.129, 60
51.61, 1.771, 39

Structure:
```
11
Lattice="-2.1288 2.1288 12.0574 2.1288 -2.1288 12.0574 2.1288 2.1288 -12.0574" Properties=species:S:1:pos:R:3 pbc="T T T"
Pa 0.0000 0.0000 2.1213
Pa 0.0000 0.0000 21.9934
Ag 0.0000 0.0000 7.6982
Ag 0.0000 0.0000 16.4165
Cl 0.0000 0.0000 4.9817
Cl 0.0000 0.0000 19.1331
O 0.0000 0.0000 0.0000
O 2.1288 0.0000 2.4074
O 2.1288 0.0000 9.6500
O 0.0000 2.1288 2.4074
O 0.0000 2.1288 9.6500
```

Diffraction record for TmMg2Zr4. The powder diffraction line list is computed, not measured: it uses DFT lattice parameters and positions (PBE) and λ = 1.5418 Å (Cu Kα).

Peak list (6 most intense, 10 to 90 degrees two-theta, by angle)
2θ/deg, d_spacing, Rel. int.
32.56, 2.750, 67
33.74, 2.656, 100
35.34, 2.540, 55
35.89, 2.502, 40
40.91, 2.206, 73
53.63, 1.709, 30

Structure:
```
14
Lattice="3.1342 0.0000 0.0000 0.0000 35.0266 0.0000 0.0000 0.0000 3.1180" Properties=species:S:1:pos:R:3 pbc="T T T"
Tm 0.0000 0.0000 0.0000
Tm 1.5671 17.5133 0.0000
Mg 0.0000 10.1287 1.5590
Mg 0.0000 24.8979 1.5590
Mg 1.5671 7.3846 1.5590
Mg 1.5671 27.6420 1.5590
Zr 0.0000 4.9280 0.0000
Zr 0.0000 14.8387 1.5590
Zr 0.0000 20.1880 1.5590
Zr 0.0000 30.0986 0.0000
Zr 1.5671 2.6746 1.5590
Zr 1.5671 12.5853 0.0000
Zr 1.5671 22.4413 0.0000
Zr 1.5671 32.3520 1.5590
```

Diffraction record for Ga13Ag2. The powder diffraction line list is computed, not measured: it uses DFT lattice parameters and positions (PBE) and λ = 1.5418 Å (Cu Kα).

Peak list (6 most intense, 10 to 90 degrees two-theta, by angle)
2θ/deg, d_spacing, Rel. int.
27.44, 3.250, 60
37.52, 2.397, 33
41.34, 2.184, 100
42.42, 2.131, 35
43.78, 2.068, 59
68.53, 1.369, 20

Structure:
```
15
Lattice="3.8153 2.2028 6.0026 -3.8153 2.2028 6.0026 0.0000 -4.4056 6.0026" Properties=species:S:1:pos:R:3 pbc="T T T"
Ga 0.0000 0.0000 0.0000
Ga -2.3878 -1.3786 9.6100
Ga -1.3887 -0.8018 7.1455
Ga 0.0000 -2.7572 8.3980
Ga -2.3878 1.3786 8.3980
Ga 0.0000 -1.6035 10.8624
Ga -1.3887 0.8018 10.8624
Ga 1.3887 -0.8018 7.1455
Ga 0.0000 1.6035 7.1455
Ga 2.3878 -1.3786 9.6100
Ga 0.0000 2.7572 9.6100
Ga 1.3887 0.8018 10.8624
Ga 2.3878 1.3786 8.3980
Ag 0.0000 0.0000 4.7422
Ag 0.0000 0.0000 13.2658
```

Diffraction record for La3PdPt3. The powder diffraction line list is computed, not measured: it uses DFT lattice parameters and positions (PBE) and λ = 1.5418 Å (Cu Kα).

Peak list (6 most intense, 10 to 90 degrees two-theta, by angle)
2θ/deg, d_spacing, Rel. int.
31.78, 2.816, 100
35.50, 2.529, 24
37.93, 2.372, 41
41.05, 2.199, 51
42.04, 2.149, 30
45.11, 2.010, 24

Structure:
```
14
Lattice="4.0195 0.0000 0.0000 0.0000 4.2988 0.0000 0.0000 0.0000 19.9076" Properties=species:S:1:pos:R:3 pbc="T T T"
La 0.0000 0.0000 0.0000
La 0.0000 0.0000 7.3531
La 0.0000 2.1494 3.6010
La 2.0097 0.0000 13.5548
La 2.0097 2.1494 9.9538
La 2.0097 2.1494 17.3069
Pd 0.0000 2.1494 14.9843
Pd 2.0097 0.0000 5.0305
Pt 0.0000 0.0000 10.4602
Pt 0.0000 0.0000 16.7972
Pt 0.0000 2.1494 12.3258
Pt 2.0097 0.0000 2.3720
Pt 2.0097 2.1494 0.5064
Pt 2.0097 2.1494 6.8434
```

Diffraction record for Li5Ga2F12. The powder diffraction line list is computed, not measured: it uses DFT lattice parameters and positions (PBE) and λ = 1.5418 Å (Cu Kα).

Peak list (6 most intense, 10 to 90 degrees two-theta, by angle)
2θ/deg, d_spacing, Rel. int.
11.86, 7.462, 100
18.45, 4.809, 35
19.43, 4.568, 50
23.85, 3.731, 27
41.07, 2.198, 37
48.45, 1.879, 28

Structure:
```
19
Lattice="4.9511 -2.9051 0.0000 4.9511 2.9051 0.0000 -1.8296 0.0000 7.4623" Properties=species:S:1:pos:R:3 pbc="T T T"
Li 0.0000 0.0000 0.0000
Li 1.5295 0.0000 5.8572
Li 2.7161 0.0000 1.0376
Li 5.3565 0.0000 6.4247
Li 6.5432 0.0000 1.6051
Ga 4.0363 1.4758 3.7312
Ga 4.0363 -1.4758 3.7312
F -0.0720 0.0000 2.7147
F 2.6468 1.4376 2.5063
F 1.8377 1.4170 7.2804
F 6.2350 1.4170 0.1819
F 5.4258 1.4376 4.9560
F 3.1979 0.0000 4.7487
F 4.8748 0.0000 2.7136
F 2.6468 -1.4376 2.5063
F 1.8377 -1.4170 7.2804
F 6.2350 -1.4170 0.1819
F 5.4258 -1.4376 4.9560
F 8.1447 0.0000 4.7476
```

Diffraction record for Er4In5S13. The powder diffraction line list is computed, not measured: it uses DFT lattice parameters and positions (PBE) and λ = 1.5418 Å (Cu Kα).

Peak list (6 most intense, 10 to 90 degrees two-theta, by angle)
2θ/deg, d_spacing, Rel. int.
24.87, 3.580, 61
25.60, 3.479, 100
25.78, 3.456, 30
27.43, 3.252, 42
34.79, 2.579, 32
40.57, 2.223, 29

Structure:
```
44
Lattice="11.9423 0.0000 0.0000 0.0000 21.4778 0.0000 0.0000 0.0000 3.8340" Properties=species:S:1:pos:R:3 pbc="T T T"
Er 0.2463 3.7873 0.0000
Er 2.2131 7.2765 0.0000
Er 3.7581 18.0154 0.0000
Er 5.7248 14.5262 0.0000
Er 6.2174 6.9516 0.0000
Er 8.1842 3.4624 0.0000
Er 9.7292 14.2013 0.0000
Er 11.6960 17.6905 0.0000
In 0.0000 10.7389 0.0000
In 1.8269 21.2959 1.9170
In 1.8966 14.2992 1.9170
In 4.0745 3.5603 1.9170
In 4.1442 10.5570 1.9170
In 5.9711 0.0000 0.0000
In 7.7981 10.9208 1.9170
In 7.8678 17.9175 1.9170
In 10.0456 7.1786 1.9170
In 10.1154 0.1819 1.9170
S 0.0000 0.0000 0.0000
S 0.0385 8.7595 1.9170
S 1.0907 5.6543 1.9170
S 1.7066 18.5274 1.9170
S 1.8216 2.4757 1.9170
S 1.9015 15.8763 0.0000
S 2.4508 10.1013 0.0000
S 3.5203 20.8402 0.0000
S 4.0696 5.1374 0.0000
S 4.1496 13.2146 1.9170
S 4.2646 7.7885 1.9170
S 4.8805 16.3932 1.9170
S 5.9327 19.4984 1.9170
S 5.9711 10.7389 0.0000
S 6.0096 1.9794 1.9170
S 7.0618 5.0846 1.9170
S 7.6777 13.6893 1.9170
S 7.7927 8.2632 1.9170
S 7.8727 16.3404 0.0000
S 8.4220 0.6375 0.0000
S 9.4915 11.3764 0.0000
S 10.0407 5.6015 0.0000
S 10.1207 19.0021 1.9170
S 10.2357 2.9504 1.9170
S 10.8516 15.8235 1.9170
S 11.9038 12.7183 1.9170
```

Repeat the third record exactly.
Diffraction record for Pa2Ag2Cl2O5. The powder diffraction line list is computed, not measured: it uses DFT lattice parameters and positions (PBE) and λ = 1.5418 Å (Cu Kα).

Peak list (6 most intense, 10 to 90 degrees two-theta, by angle)
2θ/deg, d_spacing, Rel. int.
14.69, 6.029, 41
21.19, 4.193, 78
27.95, 3.192, 100
29.67, 3.011, 89
42.45, 2.129, 60
51.61, 1.771, 39

Structure:
```
11
Lattice="-2.1288 2.1288 12.0574 2.1288 -2.1288 12.0574 2.1288 2.1288 -12.0574" Properties=species:S:1:pos:R:3 pbc="T T T"
Pa 0.0000 0.0000 2.1213
Pa 0.0000 0.0000 21.9934
Ag 0.0000 0.0000 7.6982
Ag 0.0000 0.0000 16.4165
Cl 0.0000 0.0000 4.9817
Cl 0.0000 0.0000 19.1331
O 0.0000 0.0000 0.0000
O 2.1288 0.0000 2.4074
O 2.1288 0.0000 9.6500
O 0.0000 2.1288 2.4074
O 0.0000 2.1288 9.6500
```

What did the second record say?
Diffraction record for H2IrF6. The powder diffraction line list is computed, not measured: it uses DFT lattice parameters and positions (PBE) and λ = 1.5418 Å (Cu Kα).

Peak list (6 most intense, 10 to 90 degrees two-theta, by angle)
2θ/deg, d_spacing, Rel. int.
18.98, 4.675, 100
19.18, 4.627, 51
20.78, 4.274, 35
22.09, 4.023, 25
25.30, 3.521, 47
31.02, 2.883, 25

Structure:
```
18
Lattice="4.6464 0.0000 0.0000 0.0000 5.4165 0.0000 -3.9471 0.0000 9.2538" Properties=species:S:1:pos:R:3 pbc="T T T"
H -0.0248 1.2420 0.7211
H -1.9984 1.4662 5.3480
H 2.6977 3.9503 3.9058
H 0.7241 4.1744 8.5327
Ir 2.3232 0.0000 0.0000
Ir 0.3496 2.7082 4.6269
F -0.9244 3.7263 3.4502
F -2.8979 4.3983 8.0771
F -0.9815 1.2211 4.8340
F 0.9921 1.4871 0.2071
F -0.4112 3.5877 6.1486
F 1.5624 4.5370 1.5217
F -0.8631 0.8795 7.7321
F 1.1105 1.8287 3.1052
F -0.2928 3.9294 9.0467
F 1.6808 4.1953 4.4198
F 3.5972 1.0181 1.1767
F 1.6237 1.6901 5.8036
```

Repeat the seventh record exactly.
Diffraction record for Li5Ga2F12. The powder diffraction line list is computed, not measured: it uses DFT lattice parameters and positions (PBE) and λ = 1.5418 Å (Cu Kα).

Peak list (6 most intense, 10 to 90 degrees two-theta, by angle)
2θ/deg, d_spacing, Rel. int.
11.86, 7.462, 100
18.45, 4.809, 35
19.43, 4.568, 50
23.85, 3.731, 27
41.07, 2.198, 37
48.45, 1.879, 28

Structure:
```
19
Lattice="4.9511 -2.9051 0.0000 4.9511 2.9051 0.0000 -1.8296 0.0000 7.4623" Properties=species:S:1:pos:R:3 pbc="T T T"
Li 0.0000 0.0000 0.0000
Li 1.5295 0.0000 5.8572
Li 2.7161 0.0000 1.0376
Li 5.3565 0.0000 6.4247
Li 6.5432 0.0000 1.6051
Ga 4.0363 1.4758 3.7312
Ga 4.0363 -1.4758 3.7312
F -0.0720 0.0000 2.7147
F 2.6468 1.4376 2.5063
F 1.8377 1.4170 7.2804
F 6.2350 1.4170 0.1819
F 5.4258 1.4376 4.9560
F 3.1979 0.0000 4.7487
F 4.8748 0.0000 2.7136
F 2.6468 -1.4376 2.5063
F 1.8377 -1.4170 7.2804
F 6.2350 -1.4170 0.1819
F 5.4258 -1.4376 4.9560
F 8.1447 0.0000 4.7476
```